The following is a simulated X-ray diffraction stick pattern of CsTe2O4. It was derived from a GGA-PBE-relaxed structure, using CuKα.

Principal peaks in the range 5 to 70 degrees two-theta, in order of rising 2θ:
| d (Å) | 2θ (°) | I_rel | (hkl) |
| --- | --- | --- | --- |
| 3.787 | 23.49 | 30 | 1 1 2 |
| 3.356 | 26.56 | 49 | 1 0 3 |
| 3.087 | 28.93 | 100 | 2 1 1 |
| 3.034 | 29.44 | 57 | 2 0 2 |
| 2.172 | 41.58 | 15 | 1 0 5 |
| 2.023 | 44.80 | 18 | 3 0 3 |
| 1.959 | 46.35 | 19 | 3 2 1 |
| 1.894 | 48.05 | 42 | 2 2 4 |
| 1.793 | 50.95 | 16 | 4 0 0 |
| 1.543 | 59.94 | 15 | 4 2 2 |

Cell and atoms:
```
data_CsTe2O4
_cell_length_a 7.1700
_cell_length_b 7.1700
_cell_length_c 11.3941
_cell_angle_alpha 90.00
_cell_angle_beta 90.00
_cell_angle_gamma 90.00
_space_group_name_H-M_alt 'I 41/a'
_space_group_IT_number 88
loop_
_space_group_symop_operation_xyz
'x,y,z'
'-x,-y,-z'
'-y+3/4,x+1/4,z+1/4'
'y+3/4,-x+1/4,-z+1/4'
'-x+1/2,-y,z+1/2'
'x+1/2,y,-z+1/2'
'y+3/4,-x+3/4,z+3/4'
'-y+3/4,x+3/4,-z+3/4'
'x+1/2,y+1/2,z+1/2'
'-x+1/2,-y+1/2,-z+1/2'
'-y+1/4,x+3/4,z+3/4'
'y+1/4,-x+3/4,-z+3/4'
'-x,-y+1/2,z'
'x,y+1/2,-z'
'y+1/4,-x+1/4,z+1/4'
'-y+1/4,x+1/4,-z+1/4'
loop_
_atom_site_label
_atom_site_fract_x
_atom_site_fract_y
_atom_site_fract_z
Cs1 0.0000 0.2500 0.1250
Te1 0.0000 0.0000 0.5000
O1 0.2046 0.4578 0.6262
```